NbAsAuO: computed powder X-ray diffraction pattern (Cu Kα, 1.54184 Å), based on DFT lattice parameters and positions (PBE).

Peak list (10 most intense, 15° ≤ 2θ ≤ 90°, by angle)
(hkl)  2theta  d [Å]  I (rel.)
1 1 0  26.43  3.373  100
0 2 1  31.61  2.830  33
0 0 2  33.85  2.648  58
1 2 0  35.31  2.542  76
0 3 0  40.40  2.233  23
1 1 2  43.45  2.083  47
2 0 0  46.52  1.952  29
1 2 2  49.72  1.834  47
1 3 1  50.12  1.820  22
2 0 2  58.77  1.571  23

Cell: 3.9040 6.6975 5.2960 Å, 90.00 90.00 90.00°
Atoms (fractional coordinates):
Nb 0.0000 0.1707 0.0000
Nb 0.0000 0.8293 0.5000
As 0.0000 0.2287 0.4974
As 0.0000 0.7713 0.9974
Au 0.5000 0.4592 0.5722
Au 0.5000 0.5408 0.0722
O 0.5000 0.1299 0.0111
O 0.5000 0.8701 0.5111